# HoTh3Sn12
Computed powder diffractogram, CuKα. Input: a cell relaxed with PBE.
Lines closer than 0.1° are merged.

Main lines, sorted by position (15 to 90 degrees two-theta):
2θ/deg  I (rel.)
32.73  100
37.59  35
38.73  16
55.07  23
64.78  29
66.33  13

Atomic structure:
abc: 4.786 4.786 18.600
angles: 90.00 90.00 90.00
Space group P4/mmm (No. 123)
One atom of each set of equivalent atoms:
Ho 0.000 0.000 0.000 x1
Th 0.000 0.000 0.249 x2
Th 0.000 0.000 0.500 x1
Sn 0.000 0.500 0.121 x4
Sn 0.000 0.500 0.374 x4
Sn 0.500 0.500 0.000 x1
Sn 0.500 0.500 0.247 x2
Sn 0.500 0.500 0.500 x1



# HoTiSn3
Computed powder diffractogram, CuKα. Input: a cell relaxed with PBE.
Lines closer than 0.1° are merged.

Main lines, sorted by position (15 to 90 degrees two-theta):
2θ/deg  I (rel.)
29.02  40
32.06  55
32.92  100
33.77  46
34.19  42
35.53  60

Atomic structure:
abc: 13.270 5.966 6.154
angles: 90.00 90.00 90.00
Space group Pbcm (No. 57)
One atom of each set of equivalent atoms:
Ho 0.187 0.007 0.250 x4
Ti 0.395 0.750 0.000 x4
Sn 0.004 0.750 0.000 x4
Sn 0.249 0.505 0.250 x4
Sn 0.423 0.187 0.250 x4



# Ho5Tl2Sn2
Computed powder diffractogram, CuKα. Input: a cell relaxed with PBE.
Lines closer than 0.1° are merged.

Main lines, sorted by position (15 to 90 degrees two-theta):
2θ/deg  I (rel.)
27.03  36
30.11  100
31.21  33
33.66  78
35.31  53
35.66  50

Atomic structure:
abc: 15.623 8.157 8.057
angles: 90.00 90.00 90.00
Space group Cmce (No. 64)
One atom of each set of equivalent atoms:
Ho 0.000 0.000 0.000 x4
Ho 0.140 0.173 0.330 x16
Tl 0.000 0.131 0.631 x8
Sn 0.206 0.000 0.000 x8